This entry pairs a crystal structure of NbCr3Ag2S8 with its computed X-ray powder pattern. Radiation: Cu Ka. Structure: DFT lattice parameters and positions (GGA-PBE).
Intensities are scaled so that the largest is 100.

Structure:
Unit cell a=5.981 b=6.970 c=6.544 alpha=90.00 beta=96.04 gamma=90.00
Fractional coordinates of all 14 atoms:
Nb 0.000 0.000 0.000
Cr 0.000 0.500 0.000
Cr 0.500 0.250 0.000
Cr 0.500 0.750 0.000
Ag 0.000 0.000 0.500
Ag 0.000 0.500 0.500
S 0.195 0.257 0.216
S 0.195 0.743 0.216
S 0.313 0.500 0.803
S 0.323 0.000 0.787
S 0.677 0.000 0.213
S 0.687 0.500 0.197
S 0.805 0.257 0.784
S 0.805 0.743 0.784

Principal peaks in the range 2θ = 15–90°, by angle:
d [Å], 2θ (°), I_rel
4.640, 19.13, 28
3.485, 25.56, 30
3.007, 29.71, 84
2.320, 38.82, 73
2.269, 39.72, 53
2.152, 41.98, 100
2.088, 43.34, 38
1.742, 52.52, 29
1.723, 53.15, 53
1.393, 67.19, 27